No. 1
Structure and theoretical X-ray diffraction stick pattern of Y2Er2Mg3 (a PBE-relaxed structure; copper Kα).
Lines closer than 0.1° are merged.

Principal peaks in the range 5° ≤ 2θ ≤ 70°, sorted by position:
d = 13.933 Å, intensity 65
d = 3.702 Å, intensity 24
d = 3.483 Å, intensity 10
d = 3.465 Å, intensity 15
d = 3.103 Å, intensity 18
d = 2.724 Å, intensity 100
d = 2.641 Å, intensity 48
d = 2.104 Å, intensity 10
d = 1.867 Å, intensity 17
d = 1.590 Å, intensity 17
d = 1.540 Å, intensity 35
d = 1.362 Å, intensity 10

Crystal structure
Cell: 14.1801 14.1801 3.7346 Å, 97.52 97.52 15.14°
Positions (direct):
Y: 0.0689 0.0689 0.0687
Y: 0.9311 0.9311 0.9313
Er: 0.2087 0.2087 0.2088
Er: 0.7913 0.7913 0.7912
Mg: 0.3607 0.3607 0.3609
Mg: 0.5000 0.5000 0.5000
Mg: 0.6393 0.6393 0.6391



No. 2
Structure and theoretical X-ray diffraction stick pattern of Ac4YEr3Bi8 (a PBE-relaxed structure; copper Kα).
Lines closer than 0.1° are merged.

Principal peaks in the range 5° ≤ 2θ ≤ 70°, sorted by position:
d = 3.303 Å, intensity 100
d = 3.030 Å, intensity 4
d = 2.338 Å, intensity 41
d = 2.332 Å, intensity 37
d = 1.908 Å, intensity 22
d = 1.902 Å, intensity 6
d = 1.719 Å, intensity 4
d = 1.651 Å, intensity 13
d = 1.479 Å, intensity 20
d = 1.475 Å, intensity 16
d = 1.349 Å, intensity 21
d = 1.345 Å, intensity 5

Crystal structure
Cell: 9.3293 9.3293 9.3293 Å, 60.17 60.17 60.17°
Positions (direct):
Ac: 0.0000 0.0000 0.0000
Ac: 0.0000 0.5000 0.5000
Ac: 0.5000 0.0000 0.5000
Ac: 0.5000 0.5000 0.0000
Y: 0.5000 0.5000 0.5000
Er: 0.0000 0.0000 0.5000
Er: 0.0000 0.5000 0.0000
Er: 0.5000 0.0000 0.0000
Bi: 0.2407 0.7425 0.7425
Bi: 0.2416 0.2416 0.2416
Bi: 0.2575 0.2575 0.7593
Bi: 0.2575 0.7593 0.2575
Bi: 0.7425 0.2407 0.7425
Bi: 0.7425 0.7425 0.2407
Bi: 0.7584 0.7584 0.7584
Bi: 0.7593 0.2575 0.2575



No. 3
Structure and theoretical X-ray diffraction stick pattern of Zr6TlGa3 (a PBE-relaxed structure; copper Kα).
Lines closer than 0.1° are merged.

Principal peaks in the range 5° ≤ 2θ ≤ 70°, sorted by position:
d = 5.298 Å, intensity 11
d = 3.352 Å, intensity 11
d = 2.649 Å, intensity 42
d = 2.498 Å, intensity 100
d = 2.369 Å, intensity 46
d = 2.078 Å, intensity 13
d = 2.003 Å, intensity 12
d = 1.874 Å, intensity 19
d = 1.817 Å, intensity 13
d = 1.635 Å, intensity 12
d = 1.470 Å, intensity 24
d = 1.368 Å, intensity 12

Crystal structure
Cell: 7.4921 7.4921 7.4975 Å, 90.00 90.00 90.04°
Positions (direct):
Zr: 0.0088 0.5028 0.7500
Zr: 0.1674 0.8326 0.5112
Zr: 0.1674 0.8326 0.9888
Zr: 0.3147 0.3147 0.0000
Zr: 0.3147 0.3147 0.5000
Zr: 0.4972 0.9912 0.7500
Zr: 0.5028 0.0088 0.2500
Zr: 0.6853 0.6853 0.0000
Zr: 0.6853 0.6853 0.5000
Zr: 0.8326 0.1674 0.0112
Zr: 0.8326 0.1674 0.4888
Zr: 0.9912 0.4972 0.2500
Tl: 0.3721 0.6279 0.2500
Tl: 0.6279 0.3721 0.7500
Ga: 0.1185 0.1277 0.7500
Ga: 0.1277 0.1185 0.2500
Ga: 0.3713 0.6287 0.7500
Ga: 0.6287 0.3713 0.2500
Ga: 0.8723 0.8815 0.7500
Ga: 0.8815 0.8723 0.2500



No. 4
Structure and theoretical X-ray diffraction stick pattern of NaCa2AgCl6 (a PBE-relaxed structure; copper Kα).
Lines closer than 0.1° are merged.

Principal peaks in the range 5° ≤ 2θ ≤ 70°, sorted by position:
d = 6.310 Å, intensity 17
d = 5.772 Å, intensity 44
d = 5.104 Å, intensity 40
d = 3.730 Å, intensity 53
d = 3.499 Å, intensity 23
d = 3.060 Å, intensity 100
d = 2.552 Å, intensity 36
d = 2.343 Å, intensity 84
d = 2.062 Å, intensity 30
d = 2.020 Å, intensity 62
d = 1.803 Å, intensity 18
d = 1.530 Å, intensity 18

Crystal structure
Cell: 7.4931 7.4931 7.4931 Å, 55.68 55.68 55.68°
Positions (direct):
Na: 0.0000 0.0000 0.0000
Ca: 0.1997 0.1997 0.1997
Ca: 0.6980 0.6980 0.6980
Ag: 0.4964 0.4964 0.4964
Cl: 0.0942 0.8037 0.4175
Cl: 0.3062 0.5915 0.9173
Cl: 0.4175 0.0942 0.8037
Cl: 0.5915 0.9173 0.3062
Cl: 0.8037 0.4175 0.0942
Cl: 0.9173 0.3062 0.5915



No. 5
Structure and theoretical X-ray diffraction stick pattern of Rb2BaPu2O7 (a PBE-relaxed structure; copper Kα).
Lines closer than 0.1° are merged.

Principal peaks in the range 5° ≤ 2θ ≤ 70°, sorted by position:
d = 11.427 Å, intensity 37
d = 5.714 Å, intensity 10
d = 4.292 Å, intensity 21
d = 3.158 Å, intensity 100
d = 3.090 Å, intensity 53
d = 2.285 Å, intensity 13
d = 2.185 Å, intensity 28
d = 1.837 Å, intensity 21
d = 1.797 Å, intensity 41
d = 1.579 Å, intensity 16
d = 1.545 Å, intensity 9
d = 1.382 Å, intensity 10

Crystal structure
Cell: 11.8376 11.8376 11.8376 Å, 158.73 158.73 30.26°
Positions (direct):
Rb: 0.1910 0.1910 0.0000
Rb: 0.8090 0.8090 0.0000
Ba: 0.0000 0.0000 0.0000
Pu: 0.4052 0.4052 0.0000
Pu: 0.5948 0.5948 0.0000
O: 0.0870 0.5870 0.5000
O: 0.3187 0.3187 0.0000
O: 0.4130 0.9130 0.5000
O: 0.5000 0.5000 0.0000
O: 0.5870 0.0870 0.5000
O: 0.6813 0.6813 0.0000
O: 0.9130 0.4130 0.5000



No. 6
Structure and theoretical X-ray diffraction stick pattern of PmSm2In2Ag2 (a PBE-relaxed structure; copper Kα).
Lines closer than 0.1° are merged.

Principal peaks in the range 5° ≤ 2θ ≤ 70°, sorted by position:
d = 4.525 Å, intensity 10
d = 4.194 Å, intensity 12
d = 2.863 Å, intensity 54
d = 2.651 Å, intensity 81
d = 2.451 Å, intensity 100
d = 1.862 Å, intensity 15
d = 1.810 Å, intensity 10
d = 1.800 Å, intensity 25
d = 1.483 Å, intensity 14
d = 1.456 Å, intensity 30
d = 1.451 Å, intensity 25
d = 1.415 Å, intensity 17

Crystal structure
Cell: 9.4819 9.4819 9.4819 Å, 29.96 29.96 29.96°
Positions (direct):
Pm: 0.0000 0.0000 0.0000
Sm: 0.1261 0.1261 0.1261
Sm: 0.8739 0.8739 0.8739
In: 0.2612 0.2612 0.2612
In: 0.7388 0.7388 0.7388
Ag: 0.3984 0.3984 0.3984
Ag: 0.6016 0.6016 0.6016